No. 1
This entry pairs a crystal structure of Gd11Sn10 with its computed X-ray powder pattern. Radiation: CuKα. Structure: a crystal structure in OQMD, relaxed with GGA-PBE.
Peak positions follow from Bragg's law for the DFT cell and can differ from measured ones.

The 10 most intense peaks (10 to 90 degrees two-theta), low angle first:
- 30.51°, intensity 34, hkl 4 0 0
- 31.11°, intensity 88, hkl 2 1 5
- 31.65°, intensity 100, hkl 3 2 3
- 31.89°, intensity 52, hkl 3 1 4
- 32.28°, intensity 54, hkl 4 0 2
- 32.41°, intensity 73, hkl 3 3 0
- 34.09°, intensity 24, hkl 3 3 2
- 34.78°, intensity 66, hkl 3 0 5
- 41.63°, intensity 25, hkl 5 0 3
- 63.81°, intensity 36, hkl 3 3 10

Structural model:
Lattice parameters (Å, degrees): 11.720 11.720 17.192 90.00 90.00 90.00
Space group I4/mmm (No. 139)
Inequivalent atoms, fractional coordinates:
Gd (0.000, 0.000, 0.166) [4 per cell]
Gd (0.000, 0.251, 0.311) [16 per cell]
Gd (0.000, 0.331, 0.102) [16 per cell]
Gd (0.174, 0.174, 0.500) [8 per cell]
Sn (0.000, 0.000, 0.389) [4 per cell]
Sn (0.000, 0.356, 0.500) [8 per cell]
Sn (0.000, 0.500, 0.250) [4 per cell]
Sn (0.129, 0.129, 0.000) [8 per cell]
Sn (0.206, 0.206, 0.176) [16 per cell]



No. 2
This entry pairs a crystal structure of Gd2Sn5 with its computed X-ray powder pattern. Radiation: CuKα. Structure: a crystal structure in OQMD, relaxed with GGA-PBE.
Peak positions follow from Bragg's law for the DFT cell and can differ from measured ones.

The 10 most intense peaks (10 to 90 degrees two-theta), low angle first:
- 32.88°, intensity 100, hkl 1 7 1
- 35.86°, intensity 17, hkl 0 14 0
- 39.11°, intensity 17, hkl 0 0 2
- 39.38°, intensity 16, hkl 2 0 0
- 54.10°, intensity 11, hkl 0 14 2
- 56.71°, intensity 11, hkl 2 0 2
- 62.56°, intensity 11, hkl 1 21 1
- 66.94°, intensity 13, hkl 1 7 3
- 67.31°, intensity 13, hkl 3 7 1
- 68.94°, intensity 11, hkl 2 14 2

Structural model:
Lattice parameters (Å, degrees): 4.576 35.063 4.606 90.00 90.00 90.00
Space group Cmmm (No. 65)
Inequivalent atoms, fractional coordinates:
Gd (0.000, 0.070, 0.000) [4 per cell]
Gd (0.000, 0.204, 0.000) [4 per cell]
Sn (0.000, 0.000, 0.500) [2 per cell]
Sn (0.000, 0.139, 0.500) [4 per cell]
Sn (0.000, 0.280, 0.500) [4 per cell]
Sn (0.000, 0.361, 0.000) [4 per cell]
Sn (0.000, 0.429, 0.500) [4 per cell]
Sn (0.000, 0.500, 0.000) [2 per cell]



No. 3
This entry pairs a crystal structure of SrGdSn with its computed X-ray powder pattern. Radiation: CuKα. Structure: a crystal structure in OQMD, relaxed with GGA-PBE.
Peak positions follow from Bragg's law for the DFT cell and can differ from measured ones.

The 10 most intense peaks (10 to 90 degrees two-theta), low angle first:
- 22.20°, intensity 18, hkl 0 0 4
- 29.39°, intensity 95, hkl 1 0 4
- 33.27°, intensity 100, hkl 1 1 0
- 40.35°, intensity 24, hkl 1 1 4
- 44.98°, intensity 30, hkl 2 0 4
- 47.98°, intensity 15, hkl 1 1 6
- 57.08°, intensity 29, hkl 2 1 4
- 57.34°, intensity 23, hkl 1 1 8
- 59.44°, intensity 19, hkl 3 0 0
- 77.54°, intensity 12, hkl 3 1 4

Structural model:
Lattice parameters (Å, degrees): 5.3865 5.3865 16.0187 90.00 90.00 120.00
Space group P6_3/mmc (No. 194)
Inequivalent atoms, fractional coordinates:
Sr (0.0000, 0.0000, 0.0000) [2 per cell]
Sr (0.0000, 0.0000, 0.2500) [2 per cell]
Gd (0.3333, 0.6667, 0.1052) [4 per cell]
Sn (0.3333, 0.6667, 0.6115) [4 per cell]



No. 4
This entry pairs a crystal structure of GdTlSnTe3 with its computed X-ray powder pattern. Radiation: CuKα. Structure: a crystal structure in OQMD, relaxed with GGA-PBE.
Peak positions follow from Bragg's law for the DFT cell and can differ from measured ones.

The 10 most intense peaks (10 to 90 degrees two-theta), low angle first:
- 26.17°, intensity 35, hkl 1 3 0
- 27.21°, intensity 100, hkl 1 3 1
- 29.64°, intensity 65, hkl 0 0 4
- 30.14°, intensity 74, hkl 1 3 2
- 34.52°, intensity 37, hkl 1 3 3
- 38.42°, intensity 69, hkl 0 6 2
- 39.32°, intensity 35, hkl 2 0 0
- 46.13°, intensity 32, hkl 1 3 5
- 50.00°, intensity 32, hkl 2 0 4
- 56.13°, intensity 29, hkl 2 6 2

Structural model:
Lattice parameters (Å, degrees): 4.583 15.265 12.056 90.00 90.00 90.00
Space group Cmcm (No. 63)
Inequivalent atoms, fractional coordinates:
Gd (0.000, 0.000, 0.000) [4 per cell]
Tl (0.000, 0.258, 0.250) [4 per cell]
Sn (0.000, 0.447, 0.750) [4 per cell]
Te (0.000, 0.078, 0.750) [4 per cell]
Te (0.000, 0.359, 0.527) [8 per cell]



No. 5
This entry pairs a crystal structure of Gd3Tl3Sn4 with its computed X-ray powder pattern. Radiation: CuKα. Structure: a crystal structure in OQMD, relaxed with GGA-PBE.
Peak positions follow from Bragg's law for the DFT cell and can differ from measured ones.

The 10 most intense peaks (10 to 90 degrees two-theta), low angle first:
- 32.71°, intensity 100, hkl 1 5 1
- 35.77°, intensity 18, hkl 0 10 0
- 38.73°, intensity 17, hkl 2 0 0
- 39.25°, intensity 16, hkl 0 0 2
- 53.74°, intensity 11, hkl 2 10 0
- 54.15°, intensity 11, hkl 0 10 2
- 56.33°, intensity 11, hkl 2 0 2
- 62.35°, intensity 12, hkl 1 15 1
- 66.32°, intensity 14, hkl 3 5 1
- 67.04°, intensity 13, hkl 1 5 3

Structural model:
Lattice parameters (Å, degrees): 4.650 25.101 4.590 90.00 90.00 90.00
Space group Cmmm (No. 65)
Inequivalent atoms, fractional coordinates:
Gd (0.000, 0.000, 0.000) [2 per cell]
Gd (0.000, 0.188, 0.000) [4 per cell]
Tl (0.000, 0.403, 0.000) [4 per cell]
Tl (0.000, 0.500, 0.500) [2 per cell]
Sn (0.000, 0.097, 0.500) [4 per cell]
Sn (0.000, 0.292, 0.500) [4 per cell]



No. 6
This entry pairs a crystal structure of Gd3Tl3Sn4 with its computed X-ray powder pattern. Radiation: CuKα. Structure: a crystal structure in OQMD, relaxed with GGA-PBE.
Peak positions follow from Bragg's law for the DFT cell and can differ from measured ones.

The 10 most intense peaks (10 to 90 degrees two-theta), low angle first:
- 32.67°, intensity 100, hkl 1 5 1
- 37.25°, intensity 16, hkl 0 10 0
- 37.93°, intensity 17, hkl 0 0 2
- 38.52°, intensity 17, hkl 2 0 0
- 54.21°, intensity 11, hkl 0 10 2
- 55.17°, intensity 12, hkl 2 0 2
- 64.29°, intensity 11, hkl 1 15 1
- 65.21°, intensity 14, hkl 1 5 3
- 66.01°, intensity 14, hkl 3 5 1
- 68.46°, intensity 11, hkl 2 10 2

Structural model:
Lattice parameters (Å, degrees): 4.674 24.140 4.744 90.00 90.00 90.00
Space group Cmmm (No. 65)
Inequivalent atoms, fractional coordinates:
Gd (0.000, 0.000, 0.000) [2 per cell]
Gd (0.000, 0.188, 0.000) [4 per cell]
Tl (0.000, 0.295, 0.500) [4 per cell]
Tl (0.000, 0.500, 0.500) [2 per cell]
Sn (0.000, 0.099, 0.500) [4 per cell]
Sn (0.000, 0.402, 0.000) [4 per cell]



No. 7
This entry pairs a crystal structure of Gd3Tl2Sn5 with its computed X-ray powder pattern. Radiation: CuKα. Structure: a crystal structure in OQMD, relaxed with GGA-PBE.
Peak positions follow from Bragg's law for the DFT cell and can differ from measured ones.

The 10 most intense peaks (10 to 90 degrees two-theta), low angle first:
- 32.79°, intensity 100, hkl 1 5 1
- 35.51°, intensity 18, hkl 0 10 0
- 38.36°, intensity 17, hkl 0 0 2
- 40.13°, intensity 15, hkl 2 0 0
- 53.26°, intensity 11, hkl 0 10 2
- 56.72°, intensity 11, hkl 2 0 2
- 62.04°, intensity 13, hkl 1 15 1
- 65.86°, intensity 14, hkl 1 5 3
- 68.30°, intensity 12, hkl 3 5 1
- 68.73°, intensity 11, hkl 2 10 2

Structural model:
Lattice parameters (Å, degrees): 4.494 25.281 4.693 90.00 90.00 90.00
Space group Cmmm (No. 65)
Inequivalent atoms, fractional coordinates:
Gd (0.000, 0.000, 0.000) [2 per cell]
Gd (0.000, 0.188, 0.000) [4 per cell]
Tl (0.000, 0.099, 0.500) [4 per cell]
Sn (0.000, 0.291, 0.500) [4 per cell]
Sn (0.000, 0.405, 0.000) [4 per cell]
Sn (0.000, 0.500, 0.500) [2 per cell]



No. 8
This entry pairs a crystal structure of Gd3Tl5Sn2 with its computed X-ray powder pattern. Radiation: CuKα. Structure: a crystal structure in OQMD, relaxed with GGA-PBE.
Peak positions follow from Bragg's law for the DFT cell and can differ from measured ones.

The 10 most intense peaks (10 to 90 degrees two-theta), low angle first:
- 32.60°, intensity 100, hkl 1 5 1
- 37.02°, intensity 16, hkl 0 10 0
- 37.91°, intensity 17, hkl 2 0 0
- 38.53°, intensity 16, hkl 0 0 2
- 54.02°, intensity 11, hkl 2 10 0
- 55.16°, intensity 12, hkl 2 0 2
- 63.94°, intensity 12, hkl 1 15 1
- 65.14°, intensity 14, hkl 3 5 1
- 65.98°, intensity 13, hkl 1 5 3
- 68.30°, intensity 11, hkl 2 10 2

Structural model:
Lattice parameters (Å, degrees): 4.747 24.285 4.673 90.00 90.00 90.00
Space group Cmmm (No. 65)
Inequivalent atoms, fractional coordinates:
Gd (0.000, 0.000, 0.000) [2 per cell]
Gd (0.000, 0.189, 0.000) [4 per cell]
Tl (0.000, 0.294, 0.500) [4 per cell]
Tl (0.000, 0.401, 0.000) [4 per cell]
Tl (0.000, 0.500, 0.500) [2 per cell]
Sn (0.000, 0.098, 0.500) [4 per cell]



No. 9
This entry pairs a crystal structure of Gd3Tl5Sn2 with its computed X-ray powder pattern. Radiation: CuKα. Structure: a crystal structure in OQMD, relaxed with GGA-PBE.
Peak positions follow from Bragg's law for the DFT cell and can differ from measured ones.

The 10 most intense peaks (10 to 90 degrees two-theta), low angle first:
- 32.64°, intensity 100, hkl 1 5 1
- 36.09°, intensity 18, hkl 0 10 0
- 38.42°, intensity 17, hkl 0 0 2
- 39.06°, intensity 16, hkl 2 0 0
- 53.73°, intensity 12, hkl 0 10 2
- 54.22°, intensity 11, hkl 2 10 0
- 62.72°, intensity 13, hkl 1 15 1
- 65.86°, intensity 14, hkl 1 5 3
- 66.73°, intensity 13, hkl 3 5 1
- 68.40°, intensity 11, hkl 2 10 2

Structural model:
Lattice parameters (Å, degrees): 4.613 24.890 4.686 90.00 90.00 90.00
Space group Cmmm (No. 65)
Inequivalent atoms, fractional coordinates:
Gd (0.000, 0.000, 0.000) [2 per cell]
Gd (0.000, 0.191, 0.000) [4 per cell]
Tl (0.000, 0.099, 0.500) [4 per cell]
Tl (0.000, 0.403, 0.000) [4 per cell]
Tl (0.000, 0.500, 0.500) [2 per cell]
Sn (0.000, 0.293, 0.500) [4 per cell]



No. 10
This entry pairs a crystal structure of GdYZn2Sn2 with its computed X-ray powder pattern. Radiation: CuKα. Structure: a crystal structure in OQMD, relaxed with GGA-PBE.
Peak positions follow from Bragg's law for the DFT cell and can differ from measured ones.

The 10 most intense peaks (10 to 90 degrees two-theta), low angle first:
- 28.37°, intensity 20, hkl 1 0 3
- 32.11°, intensity 100, hkl 1 0 4
- 39.94°, intensity 66, hkl 1 1 0
- 46.23°, intensity 19, hkl 1 0 7
- 52.14°, intensity 25, hkl 2 0 4
- 62.24°, intensity 17, hkl 1 1 8
- 67.63°, intensity 23, hkl 2 1 4
- 72.52°, intensity 11, hkl 3 0 0
- 76.98°, intensity 8, hkl 2 1 7
- 86.15°, intensity 7, hkl 2 2 0

Structural model:
Lattice parameters (Å, degrees): 4.5150 4.5150 15.8980 90.00 90.00 120.00
Space group P6_3/mmc (No. 194)
Inequivalent atoms, fractional coordinates:
Gd (0.0000, 0.0000, 0.0000) [2 per cell]
Y (0.0000, 0.0000, 0.2500) [2 per cell]
Zn (0.3333, 0.6667, 0.1587) [4 per cell]
Sn (0.3333, 0.6667, 0.6141) [4 per cell]



No. 11
This entry pairs a crystal structure of GdYZn2Sn2 with its computed X-ray powder pattern. Radiation: CuKα. Structure: a crystal structure in OQMD, relaxed with GGA-PBE.
Peak positions follow from Bragg's law for the DFT cell and can differ from measured ones.

The 10 most intense peaks (10 to 90 degrees two-theta), low angle first:
- 11.13°, intensity 9, hkl 0 0 2
- 28.36°, intensity 20, hkl 1 0 3
- 32.11°, intensity 100, hkl 1 0 4
- 39.93°, intensity 66, hkl 1 1 0
- 46.22°, intensity 19, hkl 1 0 7
- 52.13°, intensity 25, hkl 2 0 4
- 62.23°, intensity 17, hkl 1 1 8
- 67.63°, intensity 23, hkl 2 1 4
- 72.52°, intensity 11, hkl 3 0 0
- 76.97°, intensity 8, hkl 2 1 7

Structural model:
Lattice parameters (Å, degrees): 4.5154 4.5154 15.8994 90.00 90.00 120.00
Space group P6_3/mmc (No. 194)
Inequivalent atoms, fractional coordinates:
Gd (0.0000, 0.0000, 0.2500) [2 per cell]
Y (0.0000, 0.0000, 0.0000) [2 per cell]
Zn (0.3333, 0.6667, 0.1586) [4 per cell]
Sn (0.3333, 0.6667, 0.6140) [4 per cell]



No. 12
This entry pairs a crystal structure of GdTe2 with its computed X-ray powder pattern. Radiation: CuKα. Structure: a crystal structure in OQMD, relaxed with GGA-PBE.
Peak positions follow from Bragg's law for the DFT cell and can differ from measured ones.

The 10 most intense peaks (10 to 90 degrees two-theta), low angle first:
- 11.38°, intensity 100, hkl 1 1 1
- 18.64°, intensity 22, hkl 2 2 0
- 22.88°, intensity 23, hkl 2 2 2
- 28.91°, intensity 34, hkl 3 3 1
- 32.58°, intensity 11, hkl 4 2 2
- 37.80°, intensity 25, hkl 4 4 0
- 39.60°, intensity 29, hkl 5 3 1
- 44.64°, intensity 12, hkl 6 2 2
- 48.27°, intensity 17, hkl 7 1 1
- 62.89°, intensity 11, hkl 9 1 1

Structural model:
Lattice parameters (Å, degrees): 13.464 13.464 13.464 90.00 90.00 90.00
Space group Fd-3m (No. 227, origin choice 2)
Inequivalent atoms, fractional coordinates:
Gd (0.125, 0.125, 0.125) [8 per cell]
Te (0.000, 0.000, 0.000) [16 per cell]